# LiNdP4N8
Computed powder XRD pattern, Cu Ka. Input: a structure optimized by DFT (GGA-PBE).
Intensities are scaled so that the largest is 100.

Crystal structure
```
data_LiNdP4N8
_cell_length_a 8.7988
_cell_length_b 7.9289
_cell_length_c 9.1827
_cell_angle_alpha 90.00
_cell_angle_beta 90.00
_cell_angle_gamma 90.00
_space_group_name_H-M_alt 'P n m a'
_space_group_IT_number 62
loop_
_space_group_symop_operation_xyz
'x,y,z'
'-x,-y,-z'
'-x+1/2,-y,z+1/2'
'x+1/2,y,-z+1/2'
'x+1/2,-y+1/2,-z+1/2'
'-x+1/2,y+1/2,z+1/2'
'-x,y+1/2,-z'
'x,-y+1/2,z'
loop_
_atom_site_label
_atom_site_type_symbol
_atom_site_fract_x
_atom_site_fract_y
_atom_site_fract_z
Li1 Li 0.0537 0.2500 0.0657
Nd1 Nd 0.0864 0.7500 0.5855
P1 P 0.0708 0.5628 0.1911
P2 P 0.2285 0.5592 0.9177
N1 N 0.0242 0.7500 0.1394
N2 N 0.0763 0.5660 0.8161
N3 N 0.1299 0.5573 0.3597
N4 N 0.1970 0.0256 0.0786
N5 N 0.1988 0.2500 0.4190
```

The 10 most intense peaks (15 to 90 degrees two-theta), in order of rising 2θ:
| two_theta | d_spacing | intensity | h k l |
| --- | --- | --- | --- |
| 23.1 | 3.847 | 100 | 2 1 0 |
| 24.6 | 3.621 | 92 | 1 1 2 |
| 26.5 | 3.363 | 80 | 1 2 1 |
| 31.3 | 2.856 | 60 | 0 1 3 |
| 31.5 | 2.840 | 24 | 1 2 2 |
| 31.9 | 2.804 | 28 | 2 2 1 |
| 34.0 | 2.635 | 53 | 3 1 1 |
| 36.3 | 2.472 | 38 | 3 0 2 |
| 40.7 | 2.217 | 28 | 1 3 2 |
| 42.6 | 2.121 | 40 | 4 1 0 |